Simulated powder diffractogram of Li3Mo3P4O16 for λ = 1.5418 Å (Cu Kα), from a structure optimized by DFT (PBE+U).

Principal peaks in the range 10 to 80 degrees two-theta, sorted by position:
15.59 deg, rel. 100; 20.43 deg, rel. 58; 21.10 deg, rel. 51; 23.06 deg, rel. 42; 25.35 deg, rel. 54; 29.63 deg, rel. 54; 30.12 deg, rel. 30; 31.49 deg, rel. 34; 36.67 deg, rel. 40; 52.29 deg, rel. 26

```
52
Lattice="7.7453 0.0000 0.0000 0.0000 8.3694 0.0000 -0.3561 0.0000 10.2608" Properties=species:S:1:pos:R:3 pbc="T T T"
Li 1.0651 0.0000 0.7776
Li 0.9118 8.2756 5.9372
Li 2.3650 6.0886 6.8593
Li 5.0242 1.9039 3.4016
Li 6.4773 4.0909 4.3236
Li 6.3241 4.1847 9.4833
Mo 1.6016 3.0206 6.3945
Mo 1.8559 2.9250 1.2862
Mo 2.7181 6.0676 1.8740
Mo 4.6711 1.8829 8.3868
Mo 5.5332 7.1097 8.9746
Mo 5.7876 7.2053 3.8663
P 0.0574 1.3327 8.8299
P 0.2680 1.3857 3.6829
P 3.1288 4.7055 9.1222
P 3.4114 4.5569 4.1118
P 3.9777 0.3722 6.1490
P 4.2604 0.5208 1.1386
P 7.1212 5.5703 6.5780
P 7.3317 5.5174 1.4309
O -0.1820 4.1163 6.1747
O 0.0538 4.0872 1.0555
O 0.5228 6.5480 6.6323
O 0.7879 6.5125 1.2888
O 0.6346 1.3940 7.3981
O 0.9924 1.3043 2.2887
O 1.1459 1.7394 9.8585
O 1.3447 1.7816 4.7464
O 2.0969 4.2454 8.0895
O 2.3572 4.2635 2.9383
O 2.7638 4.7039 0.2814
O 2.6436 4.6638 5.4310
O 2.8303 7.7896 6.1424
O 3.0636 7.9140 1.0225
O 3.5048 1.8501 6.6587
O 3.7656 1.9371 1.4840
O 3.6236 6.1218 8.7768
O 3.8844 6.0348 3.6021
O 4.3256 3.7293 9.2383
O 4.5589 3.6049 4.1185
O 4.7456 0.4791 4.8299
O 4.6254 0.5192 9.9794
O 5.0320 0.0788 7.3225
O 5.2923 0.0607 2.1713
O 6.0445 5.9663 5.5144
O 6.2433 5.9241 0.4024
O 6.3968 5.4890 7.9721
O 6.7546 5.5787 2.8628
O 6.6013 2.3278 8.9720
O 6.8664 2.3633 3.6285
O 7.3354 8.2719 9.2053
O 7.5712 8.3010 4.0862
```

Simulated powder diffractogram of NaMgCr3O8 for λ = 1.5418 Å (Cu Kα), from a structure optimized by DFT (PBE+U).

Principal peaks in the range 10 to 80 degrees two-theta, sorted by position:
12.24 deg, rel. 15; 18.96 deg, rel. 20; 21.48 deg, rel. 100; 23.51 deg, rel. 17; 24.58 deg, rel. 36; 29.64 deg, rel. 25; 32.65 deg, rel. 18; 32.83 deg, rel. 27; 33.32 deg, rel. 22; 51.50 deg, rel. 21

```
13
Lattice="4.7697 -2.7283 0.0000 4.7697 2.7283 0.0000 -1.4230 0.0000 7.2313" Properties=species:S:1:pos:R:3 pbc="T T T"
Na 0.0000 0.0000 0.0000
Mg 1.3293 0.0000 5.7067
Cr 0.5147 0.0000 3.2167
Cr 3.8963 0.0000 4.8812
Cr 6.7477 0.0000 1.5489
O 2.3612 0.0000 3.9160
O 4.8781 1.4858 4.7413
O 5.7975 1.3773 1.7959
O 3.0778 0.0000 6.4882
O 5.8705 0.0000 7.2275
O 4.8781 -1.4858 4.7413
O 5.7975 -1.3773 1.7959
O 8.0909 0.0000 2.5332
```

Simulated powder diffractogram of Ba2MnWO6 for λ = 1.5418 Å (Cu Kα), from a structure optimized by DFT (PBE+U).

Principal peaks in the range 10 to 80 degrees two-theta, sorted by position:
18.41 deg, rel. 18; 30.29 deg, rel. 100; 35.68 deg, rel. 9; 43.37 deg, rel. 30; 53.82 deg, rel. 40; 57.37 deg, rel. 4; 63.01 deg, rel. 18; 66.26 deg, rel. 4; 71.50 deg, rel. 18; 79.59 deg, rel. 6

```
10
Lattice="0.0000 4.1726 4.1726 4.1726 0.0000 4.1726 4.1726 4.1726 0.0000" Properties=species:S:1:pos:R:3 pbc="T T T"
Ba 2.0863 2.0863 2.0863
Ba 6.2589 6.2589 6.2589
Mn 0.0000 0.0000 0.0000
W 4.1726 4.1726 4.1726
O 4.1726 4.1726 2.2097
O 4.1726 2.2097 4.1726
O 6.1355 4.1726 4.1726
O 2.2097 4.1726 4.1726
O 4.1726 6.1355 4.1726
O 4.1726 4.1726 6.1355
```